[1]
YRe2O8: computed powder X-ray diffraction pattern (copper Kα), based on the GGA-PBE geometry in Alexandria.
Kinematic intensities with the Lorentz-polarization factor, no thermal factor.

The 12 most intense peaks (15° ≤ 2θ ≤ 90°), low angle first:
| 2theta | d [Å] | Rel. int. |
| --- | --- | --- |
| 16.03 | 5.530 | 167 |
| 18.53 | 4.789 | 502 |
| 26.32 | 3.386 | 1000 |
| 32.38 | 2.765 | 139 |
| 37.56 | 2.395 | 105 |
| 42.19 | 2.142 | 168 |
| 46.44 | 1.955 | 409 |
| 54.17 | 1.693 | 190 |
| 57.75 | 1.596 | 107 |
| 61.20 | 1.514 | 172 |
| 74.07 | 1.280 | 222 |
| 86.15 | 1.129 | 116 |

Structural model:
Lattice parameters (Å, degrees): 6.7729 6.7729 6.7729 60.00 60.00 60.00
Fractional coordinates of all 11 atoms:
Y: 0.0000 0.0000 0.0000
Re: 0.2500 0.2500 0.2500
Re: 0.7500 0.7500 0.7500
O: 0.1434 0.1434 0.1434
O: 0.1434 0.1434 0.5697
O: 0.1434 0.5697 0.1434
O: 0.4303 0.8566 0.8566
O: 0.5697 0.1434 0.1434
O: 0.8566 0.4303 0.8566
O: 0.8566 0.8566 0.4303
O: 0.8566 0.8566 0.8566

=====

[2]
Y2ReO5: computed powder X-ray diffraction pattern (copper Kα), based on the GGA-PBE geometry in Alexandria.
Kinematic intensities with the Lorentz-polarization factor, no thermal factor.

The 12 most intense peaks (15° ≤ 2θ ≤ 90°), low angle first:
| 2theta | d [Å] | Rel. int. |
| --- | --- | --- |
| 20.74 | 4.283 | 345 |
| 28.06 | 3.180 | 686 |
| 29.49 | 3.029 | 277 |
| 33.08 | 2.708 | 1000 |
| 34.76 | 2.581 | 128 |
| 39.38 | 2.288 | 194 |
| 47.47 | 1.915 | 282 |
| 49.96 | 1.826 | 125 |
| 53.51 | 1.713 | 143 |
| 53.82 | 1.703 | 137 |
| 54.64 | 1.680 | 213 |
| 63.32 | 1.469 | 154 |

Structural model:
Lattice parameters (Å, degrees): 8.5661 8.5661 5.7047 90.00 90.00 90.00
Fractional coordinates of all 32 atoms:
Y: 0.1000 0.8901 0.2501
Y: 0.1099 0.6000 0.7499
Y: 0.3901 0.9000 0.7499
Y: 0.4000 0.6099 0.2501
Y: 0.6000 0.3901 0.7499
Y: 0.6099 0.1000 0.2501
Y: 0.8901 0.4000 0.2501
Y: 0.9000 0.1099 0.7499
Re: 0.2500 0.2500 0.1450
Re: 0.2500 0.2500 0.5412
Re: 0.7500 0.7500 0.4588
Re: 0.7500 0.7500 0.8550
O: 0.0477 0.3441 0.6003
O: 0.0491 0.1525 0.0940
O: 0.1525 0.4509 0.0940
O: 0.1559 0.0477 0.6003
O: 0.2500 0.7500 0.0000
O: 0.2500 0.7500 0.5000
O: 0.3441 0.4523 0.6003
O: 0.3475 0.0491 0.0940
O: 0.4509 0.3475 0.0940
O: 0.4523 0.1559 0.6003
O: 0.5477 0.8441 0.3997
O: 0.5491 0.6525 0.9060
O: 0.6525 0.9509 0.9060
O: 0.6559 0.5477 0.3997
O: 0.7500 0.2500 0.0000
O: 0.7500 0.2500 0.5000
O: 0.8441 0.9523 0.3997
O: 0.8475 0.5491 0.9060
O: 0.9509 0.8475 0.9060
O: 0.9523 0.6559 0.3997

=====

[3]
Yb5Re2O12: computed powder X-ray diffraction pattern (copper Kα), based on the GGA-PBE geometry in Alexandria.
Kinematic intensities with the Lorentz-polarization factor, no thermal factor.

The 12 most intense peaks (15° ≤ 2θ ≤ 90°), low angle first:
| 2theta | d [Å] | Rel. int. |
| --- | --- | --- |
| 22.17 | 4.010 | 201 |
| 24.42 | 3.646 | 214 |
| 27.46 | 3.248 | 991 |
| 27.96 | 3.191 | 1000 |
| 32.55 | 2.751 | 403 |
| 32.70 | 2.738 | 375 |
| 33.44 | 2.680 | 304 |
| 34.64 | 2.590 | 238 |
| 39.88 | 2.261 | 288 |
| 46.17 | 1.966 | 215 |
| 47.45 | 1.916 | 221 |
| 55.65 | 1.652 | 269 |

Structural model:
Lattice parameters (Å, degrees): 6.8464 6.8464 7.6646 106.48 106.48 49.79
Fractional coordinates of all 19 atoms:
Yb: 0.0000 0.0000 0.0000
Yb: 0.3021 0.3021 0.1283
Yb: 0.3169 0.3169 0.6901
Yb: 0.6831 0.6831 0.3099
Yb: 0.6979 0.6979 0.8717
Re: 0.2232 0.7768 0.5000
Re: 0.7768 0.2232 0.5000
O: 0.0013 0.0013 0.6978
O: 0.0923 0.5926 0.4229
O: 0.0979 0.5948 0.9248
O: 0.4052 0.9021 0.0752
O: 0.4074 0.9077 0.5771
O: 0.4982 0.4982 0.3288
O: 0.5018 0.5018 0.6712
O: 0.5926 0.0923 0.4229
O: 0.5948 0.0979 0.9248
O: 0.9021 0.4052 0.0752
O: 0.9077 0.4074 0.5771
O: 0.9987 0.9987 0.3022

=====

[4]
YbRe3O12: computed powder X-ray diffraction pattern (copper Kα), based on the GGA-PBE geometry in Alexandria.
Kinematic intensities with the Lorentz-polarization factor, no thermal factor.

The 12 most intense peaks (15° ≤ 2θ ≤ 90°), low angle first:
| 2theta | d [Å] | Rel. int. |
| --- | --- | --- |
| 22.36 | 3.976 | 1000 |
| 24.48 | 3.636 | 795 |
| 26.26 | 3.394 | 512 |
| 28.81 | 3.099 | 301 |
| 29.85 | 2.993 | 157 |
| 30.02 | 2.977 | 428 |
| 39.38 | 2.288 | 192 |
| 41.97 | 2.153 | 185 |
| 46.46 | 1.955 | 373 |
| 48.51 | 1.877 | 128 |
| 55.49 | 1.656 | 138 |
| 63.81 | 1.459 | 146 |

Structural model:
Lattice parameters (Å, degrees): 10.3676 10.3676 6.1977 90.00 90.00 120.00
Fractional coordinates of all 32 atoms:
Yb: 0.3333 0.6667 0.2500
Yb: 0.6667 0.3333 0.7500
Re: 0.0929 0.3977 0.7500
Re: 0.3048 0.9071 0.7500
Re: 0.3977 0.3048 0.2500
Re: 0.6023 0.6952 0.7500
Re: 0.6952 0.0929 0.2500
Re: 0.9071 0.6023 0.2500
O: 0.1026 0.6962 0.2500
O: 0.1160 0.8450 0.7500
O: 0.1550 0.2710 0.7500
O: 0.1611 0.5116 0.5186
O: 0.1611 0.5116 0.9814
O: 0.2710 0.1160 0.2500
O: 0.3038 0.4063 0.2500
O: 0.3505 0.8389 0.5186
O: 0.3505 0.8389 0.9814
O: 0.4063 0.1026 0.7500
O: 0.4884 0.6495 0.5186
O: 0.4884 0.6495 0.9814
O: 0.5116 0.3505 0.0186
O: 0.5116 0.3505 0.4814
O: 0.5937 0.8974 0.2500
O: 0.6495 0.1611 0.0186
O: 0.6495 0.1611 0.4814
O: 0.6962 0.5937 0.7500
O: 0.7290 0.8840 0.7500
O: 0.8389 0.4884 0.0186
O: 0.8389 0.4884 0.4814
O: 0.8450 0.7290 0.2500
O: 0.8840 0.1550 0.2500
O: 0.8974 0.3038 0.7500

=====

[5]
Zn3ReO6: computed powder X-ray diffraction pattern (copper Kα), based on the GGA-PBE geometry in Alexandria.
Kinematic intensities with the Lorentz-polarization factor, no thermal factor.

The 12 most intense peaks (15° ≤ 2θ ≤ 90°), low angle first:
| 2theta | d [Å] | Rel. int. |
| --- | --- | --- |
| 20.43 | 4.348 | 862 |
| 29.04 | 3.074 | 655 |
| 32.50 | 2.755 | 206 |
| 32.62 | 2.745 | 355 |
| 35.63 | 2.520 | 248 |
| 35.81 | 2.508 | 1000 |
| 46.65 | 1.947 | 297 |
| 46.78 | 1.942 | 196 |
| 55.74 | 1.649 | 219 |
| 55.93 | 1.644 | 224 |
| 56.08 | 1.640 | 473 |
| 68.34 | 1.373 | 137 |

Structural model:
Lattice parameters (Å, degrees): 6.1491 6.1491 6.1491 89.74 89.74 89.74
Fractional coordinates of all 20 atoms:
Zn: 0.0382 0.5576 0.7496
Zn: 0.2504 0.9618 0.4424
Zn: 0.4424 0.2504 0.9618
Zn: 0.5576 0.7496 0.0382
Zn: 0.7496 0.0382 0.5576
Zn: 0.9618 0.4424 0.2504
Re: 0.0000 0.0000 0.0000
Re: 0.5000 0.5000 0.5000
O: 0.0593 0.8924 0.7024
O: 0.1076 0.2976 0.9407
O: 0.2035 0.5596 0.4341
O: 0.2976 0.9407 0.1076
O: 0.4341 0.2035 0.5596
O: 0.4404 0.5659 0.7965
O: 0.5596 0.4341 0.2035
O: 0.5659 0.7965 0.4404
O: 0.7024 0.0593 0.8924
O: 0.7965 0.4404 0.5659
O: 0.8924 0.7024 0.0593
O: 0.9407 0.1076 0.2976

=====

[6]
ZrRe2O8: computed powder X-ray diffraction pattern (copper Kα), based on the GGA-PBE geometry in Alexandria.
Kinematic intensities with the Lorentz-polarization factor, no thermal factor.

The 12 most intense peaks (15° ≤ 2θ ≤ 90°), low angle first:
| 2theta | d [Å] | Rel. int. |
| --- | --- | --- |
| 15.09 | 5.871 | 1000 |
| 16.26 | 5.452 | 363 |
| 21.69 | 4.097 | 419 |
| 22.75 | 3.909 | 414 |
| 24.07 | 3.697 | 567 |
| 25.55 | 3.486 | 510 |
| 27.73 | 3.217 | 221 |
| 30.43 | 2.937 | 223 |
| 31.15 | 2.872 | 453 |
| 35.40 | 2.536 | 313 |
| 35.58 | 2.523 | 386 |
| 44.26 | 2.047 | 255 |

Structural model:
Lattice parameters (Å, degrees): 6.4786 6.4786 5.4856 94.22 94.22 65.12
Fractional coordinates of all 11 atoms:
Zr: 0.0000 0.0000 0.0000
Re: 0.1891 0.1891 0.6259
Re: 0.8109 0.8109 0.3741
O: 0.0719 0.7034 0.1995
O: 0.1346 0.1346 0.3061
O: 0.2966 0.9281 0.8005
O: 0.3467 0.3467 0.6807
O: 0.6533 0.6533 0.3193
O: 0.7034 0.0719 0.1995
O: 0.8654 0.8654 0.6939
O: 0.9281 0.2966 0.8005

=====

[7]
Rh3O4: computed powder X-ray diffraction pattern (copper Kα), based on the GGA-PBE geometry in Alexandria.
Kinematic intensities with the Lorentz-polarization factor, no thermal factor.

The 12 most intense peaks (15° ≤ 2θ ≤ 90°), low angle first:
| 2theta | d [Å] | Rel. int. |
| --- | --- | --- |
| 16.22 | 5.464 | 291 |
| 17.20 | 5.156 | 514 |
| 21.09 | 4.212 | 242 |
| 29.80 | 2.998 | 170 |
| 33.21 | 2.698 | 1000 |
| 33.79 | 2.653 | 324 |
| 34.80 | 2.578 | 349 |
| 40.45 | 2.230 | 424 |
| 44.59 | 2.032 | 356 |
| 52.88 | 1.731 | 367 |
| 60.08 | 1.540 | 214 |
| 61.11 | 1.516 | 201 |

Structural model:
Lattice parameters (Å, degrees): 5.4985 5.4985 5.5859 101.48 101.48 33.11
Fractional coordinates of all 7 atoms:
Rh: 0.0000 0.0000 0.0000
Rh: 0.2468 0.2468 0.2553
Rh: 0.7532 0.7532 0.7447
O: 0.1615 0.1615 0.8750
O: 0.3433 0.3433 0.6069
O: 0.6567 0.6567 0.3931
O: 0.8385 0.8385 0.1250

=====

[8]
Ru2RhO6: computed powder X-ray diffraction pattern (copper Kα), based on the GGA-PBE geometry in Alexandria.
Kinematic intensities with the Lorentz-polarization factor, no thermal factor.

The 12 most intense peaks (15° ≤ 2θ ≤ 90°), low angle first:
| 2theta | d [Å] | Rel. int. |
| --- | --- | --- |
| 23.62 | 3.767 | 187 |
| 29.00 | 3.079 | 1000 |
| 31.36 | 2.852 | 240 |
| 35.62 | 2.521 | 580 |
| 37.68 | 2.388 | 169 |
| 41.42 | 2.180 | 90 |
| 41.58 | 2.172 | 90 |
| 46.56 | 1.950 | 250 |
| 55.88 | 1.645 | 564 |
| 57.18 | 1.611 | 111 |
| 59.97 | 1.543 | 219 |
| 63.98 | 1.455 | 209 |

Structural model:
Lattice parameters (Å, degrees): 8.7314 8.7314 4.3439 90.00 90.00 120.00
Fractional coordinates of all 27 atoms:
Ru: 0.0000 0.3489 0.0000
Ru: 0.0000 0.6830 0.5000
Ru: 0.3170 0.3170 0.5000
Ru: 0.3489 0.0000 0.0000
Ru: 0.6511 0.6511 0.0000
Ru: 0.6830 0.0000 0.5000
Rh: 0.0000 0.0000 0.0000
Rh: 0.3333 0.6667 0.4968
Rh: 0.6667 0.3333 0.5032
O: 0.1063 0.2260 0.2401
O: 0.1084 0.5695 0.2485
O: 0.1197 0.8937 0.2401
O: 0.2116 0.4394 0.7402
O: 0.2260 0.1063 0.7599
O: 0.2278 0.7884 0.7402
O: 0.4305 0.5389 0.2485
O: 0.4394 0.2116 0.2598
O: 0.4611 0.8916 0.2485
O: 0.5389 0.4305 0.7515
O: 0.5606 0.7722 0.7402
O: 0.5695 0.1084 0.7515
O: 0.7722 0.5606 0.2598
O: 0.7740 0.8803 0.2401
O: 0.7884 0.2278 0.2598
O: 0.8803 0.7740 0.7599
O: 0.8916 0.4611 0.7515
O: 0.8937 0.1197 0.7599